Structure and simulated powder XRD pattern of Na6NbGa3Si2P4O24 (a structure optimized by DFT (PBE); Cu Kα).
No peak broadening, texture or thermal motion is included.

Structural model:
```
data_Na6NbGa3Si2P4O24
_chemical_formula_sum 'Na6 Nb1 Ga3 Si2 P4 O24'
_cell_length_a 8.8390
_cell_length_b 8.8486
_cell_length_c 8.8695
_cell_angle_alpha 60.60
_cell_angle_beta 60.31
_cell_angle_gamma 60.32
_space_group_name_H-M_alt 'P 1'
_space_group_IT_number 1
loop_
_space_group_symop_operation_xyz
'x,y,z'
loop_
_atom_site_label
_atom_site_type_symbol
_atom_site_fract_x
_atom_site_fract_y
_atom_site_fract_z
Na1 Na 0.0000 0.0000 0.0000
Na2 Na 0.0987 0.4024 0.7517
Na3 Na 0.3846 0.7412 0.7748
Na4 Na 0.5030 0.5068 0.4881
Na5 Na 0.6237 0.2661 0.2027
Na6 Na 0.8930 0.6262 0.2294
Nb1 Nb 0.1461 0.1535 0.5493
Ga1 Ga 0.3622 0.3566 0.9262
Ga2 Ga 0.6420 0.6570 0.0474
Ga3 Ga 0.8590 0.8537 0.4305
Si1 Si 0.2541 0.5607 0.2315
Si2 Si 0.7449 0.4694 0.7359
P1 P 0.0364 0.7540 0.7456
P2 P 0.4718 0.0493 0.7319
P3 P 0.5466 0.9616 0.2308
P4 P 0.9653 0.2538 0.2243
O1 O 0.0209 0.2048 0.3921
O2 O 0.0714 0.7415 0.2496
O3 O 0.0758 0.9168 0.7311
O4 O 0.1258 0.2950 0.0469
O5 O 0.2136 0.3720 0.4144
O6 O 0.2201 0.5886 0.7437
O7 O 0.2815 0.5181 0.0587
O8 O 0.2864 0.0638 0.7249
O9 O 0.3821 0.9907 0.4119
O10 O 0.4252 0.2351 0.7460
O11 O 0.4385 0.5617 0.2289
O12 O 0.4995 0.8776 0.8997
O13 O 0.5051 0.1314 0.0668
O14 O 0.5680 0.4449 0.7494
O15 O 0.5759 0.7772 0.2262
O16 O 0.6285 0.0286 0.5508
O17 O 0.7235 0.9511 0.2389
O18 O 0.7313 0.4917 0.9152
O19 O 0.7869 0.6396 0.5491
O20 O 0.7878 0.4236 0.2375
O21 O 0.8772 0.7173 0.9272
O22 O 0.9261 0.0935 0.2429
O23 O 0.9278 0.2748 0.7219
O24 O 0.9964 0.7968 0.5767
```

Largest 12 diffraction maxima, low angle first, 10° ≤ 2θ ≤ 90°:
2theta	d_spacing	Rel. int.	index
14.1	6.274	31	1 1 0
19.9	4.470	24	0 1 -1
20.0	4.443	100	1 0 -1
20.1	4.422	54	2 1 1
23.4	3.797	22	1 2 0
23.5	3.780	34	-1 1 1
28.4	3.143	38	2 0 2
31.7	2.824	47	1 2 -1
31.8	2.810	67	2 1 3
31.9	2.802	21	1 2 3
35.0	2.561	57	0 3 1
35.2	2.549	33	3 3 2